(1)
Diffraction record for LiThCuNi. The X-ray powder pattern is simulated, not measured: it uses a structure optimized by DFT (PBE) and Cu Kα (λ = 1.5418 Å).
Lines closer than 0.1° are merged.

The 9 most intense peaks (5 to 70 degrees two-theta), by intensity:
two_theta, d [Å], I/Imax
38.22, 2.355, 100
23.13, 3.845, 86
45.15, 2.008, 46
69.09, 1.360, 34
60.60, 1.528, 19
55.16, 1.665, 17
26.77, 3.330, 8
62.35, 1.489, 4
47.27, 1.923, 3

Structure:
```
4
Lattice="0.0000 3.3303 3.3303 3.3303 0.0000 3.3303 3.3303 3.3303 0.0000" Properties=species:S:1:pos:R:3 pbc="T T T"
Li 0.0000 0.0000 0.0000
Th 3.3303 3.3303 3.3303
Cu 4.9954 4.9954 4.9954
Ni 1.6651 1.6651 1.6651
```

(2)
Diffraction record for Li4NpCu3O12. The X-ray powder pattern is simulated, not measured: it uses a structure optimized by DFT (PBE) and Cu Kα (λ = 1.5418 Å).
Lines closer than 0.1° are merged.

The 12 most intense peaks (5 to 70 degrees two-theta), by intensity:
two_theta, d [Å], I/Imax
24.40, 3.648, 100
34.78, 2.579, 78
17.19, 5.159, 77
62.36, 1.489, 44
42.95, 2.106, 38
56.40, 1.631, 37
46.58, 1.950, 34
39.04, 2.307, 30
50.01, 1.824, 21
30.00, 2.978, 20
65.21, 1.431, 13
53.27, 1.720, 12

Structure:
```
20
Lattice="-3.6476 3.6476 3.6476 3.6476 -3.6476 3.6476 3.6476 3.6476 -3.6476" Properties=species:S:1:pos:R:3 pbc="T T T"
Li 1.8238 1.8238 -1.8238
Li 1.8238 -1.8238 1.8238
Li -1.8238 1.8238 1.8238
Li 1.8238 1.8238 1.8238
Np 0.0000 0.0000 0.0000
Cu 3.6476 0.0000 0.0000
Cu 0.0000 3.6476 0.0000
Cu 0.0000 0.0000 3.6476
O 3.6476 2.5660 -1.4858
O 2.1618 0.0000 1.0816
O 5.1335 0.0000 1.0816
O 1.0816 2.1618 0.0000
O 2.5660 -1.4858 3.6476
O 0.0000 1.0816 2.1618
O 3.6476 2.5660 1.4858
O 1.0816 5.1335 0.0000
O 2.5660 1.4858 3.6476
O -1.4858 3.6476 2.5660
O 1.4858 3.6476 2.5660
O 0.0000 1.0816 5.1335
```

(3)
Diffraction record for LiNpCu2S4. The X-ray powder pattern is simulated, not measured: it uses a structure optimized by DFT (PBE) and Cu Kα (λ = 1.5418 Å).
Lines closer than 0.1° are merged.

The 12 most intense peaks (5 to 70 degrees two-theta), by intensity:
two_theta, d [Å], I/Imax
18.98, 4.675, 100
32.73, 2.736, 83
34.10, 2.629, 60
52.69, 1.737, 46
40.10, 2.248, 38
28.06, 3.180, 27
41.79, 2.162, 19
44.73, 2.026, 16
51.09, 1.788, 15
38.52, 2.337, 14
53.64, 1.709, 13
66.86, 1.399, 12

Structure:
```
8
Lattice="-3.1797 3.1797 3.4478 3.1797 -3.1797 3.4478 3.1797 3.1797 -3.4478" Properties=species:S:1:pos:R:3 pbc="T T T"
Li 0.0000 0.0000 0.0000
Np 0.0000 0.0000 3.4478
Cu 3.1797 0.0000 1.7239
Cu 0.0000 3.1797 1.7239
S 1.8151 -1.8151 2.0872
S 1.3646 1.3646 1.3605
S -1.8151 1.8151 2.0872
S 1.8151 1.8151 4.8083
```

(4)
Diffraction record for LiCu3O3. The X-ray powder pattern is simulated, not measured: it uses a structure optimized by DFT (PBE) and Cu Kα (λ = 1.5418 Å).
Lines closer than 0.1° are merged.

The 12 most intense peaks (5 to 70 degrees two-theta), by intensity:
two_theta, d [Å], I/Imax
37.48, 2.399, 100
45.84, 1.979, 73
24.43, 3.644, 43
38.65, 2.329, 35
61.47, 1.508, 31
19.05, 4.659, 22
66.84, 1.400, 20
31.97, 2.799, 20
28.74, 3.106, 19
51.00, 1.791, 16
69.20, 1.358, 14
29.61, 3.017, 13

Structure:
```
14
Lattice="3.9587 0.0000 0.0000 0.0000 3.9587 0.0000 0.0000 0.0000 9.3178" Properties=species:S:1:pos:R:3 pbc="T T T"
Li 0.9897 0.9897 2.2802
Li 2.9690 2.9690 7.0376
Cu 0.9897 0.9897 6.5616
Cu 0.9897 2.9690 0.0000
Cu 0.9897 2.9690 4.6589
Cu 2.9690 0.9897 0.0000
Cu 2.9690 0.9897 4.6589
Cu 2.9690 2.9690 2.7562
O 0.9897 0.9897 0.1682
O 0.9897 2.9690 2.7966
O 0.9897 2.9690 6.5212
O 2.9690 0.9897 2.7966
O 2.9690 0.9897 6.5212
O 2.9690 2.9690 9.1496
```

Repeat the third record exactly.
Diffraction record for LiNpCu2S4. The X-ray powder pattern is simulated, not measured: it uses a structure optimized by DFT (PBE) and Cu Kα (λ = 1.5418 Å).
Lines closer than 0.1° are merged.

The 12 most intense peaks (5 to 70 degrees two-theta), by intensity:
two_theta, d [Å], I/Imax
18.98, 4.675, 100
32.73, 2.736, 83
34.10, 2.629, 60
52.69, 1.737, 46
40.10, 2.248, 38
28.06, 3.180, 27
41.79, 2.162, 19
44.73, 2.026, 16
51.09, 1.788, 15
38.52, 2.337, 14
53.64, 1.709, 13
66.86, 1.399, 12

Structure:
```
8
Lattice="-3.1797 3.1797 3.4478 3.1797 -3.1797 3.4478 3.1797 3.1797 -3.4478" Properties=species:S:1:pos:R:3 pbc="T T T"
Li 0.0000 0.0000 0.0000
Np 0.0000 0.0000 3.4478
Cu 3.1797 0.0000 1.7239
Cu 0.0000 3.1797 1.7239
S 1.8151 -1.8151 2.0872
S 1.3646 1.3646 1.3605
S -1.8151 1.8151 2.0872
S 1.8151 1.8151 4.8083
```